Record 1
Theoretical XRD peak list of GaPO for Cu Kα, from a cell relaxed with GGA-PBE.

Crystal structure
```
GaPO
1.0
4.477 0.000 0.000
0.000 4.686 0.000
-0.039 0.000 4.700
Ga P O
2 2 2
Direct
0.002 0.000 0.241
0.998 0.500 0.759
0.322 0.893 0.849
0.678 0.393 0.151
0.159 0.133 0.613
0.841 0.633 0.387
```

Peak list (8 most intense, 10° ≤ 2θ ≤ 90°, by angle)
2theta  d (Å)  Rel. int.
19.83  4.477  100
26.87  3.319  42
27.56  3.236  25
33.52  2.674  60
33.71  2.659  86
38.30  2.350  25
43.61  2.076  37
48.95  1.861  42

Record 2
Theoretical XRD peak list of Pa4Ga6O19 for Cu Kα, from a cell relaxed with GGA-PBE.

Crystal structure
```
Pa4Ga6O19
1.0
-4.579 4.579 4.579
4.579 -4.579 4.579
4.579 4.579 -4.579
Pa Ga O
4 6 19
Direct
0.000 0.000 0.713
0.000 0.713 0.000
0.287 0.287 0.287
0.713 0.000 0.000
0.250 0.500 0.750
0.250 0.750 0.500
0.500 0.250 0.750
0.500 0.750 0.250
0.750 0.250 0.500
0.750 0.500 0.250
0.000 0.000 0.000
0.000 0.256 0.627
0.000 0.271 0.271
0.000 0.627 0.256
0.000 0.729 0.729
0.256 0.000 0.627
0.256 0.627 0.000
0.271 0.000 0.271
0.271 0.271 0.000
0.371 0.744 0.744
0.373 0.373 0.629
0.373 0.629 0.373
0.627 0.000 0.256
0.627 0.256 0.000
0.629 0.373 0.373
0.729 0.000 0.729
0.729 0.729 0.000
0.744 0.371 0.744
0.744 0.744 0.371
```

Peak list (8 most intense, 10° ≤ 2θ ≤ 90°, by angle)
2theta  d (Å)  Rel. int.
13.67  6.476  22
23.80  3.739  100
30.87  2.896  56
33.91  2.644  46
36.71  2.448  22
41.85  2.159  38
54.91  1.672  39
56.87  1.619  24

Record 3
Theoretical XRD peak list of PaGa2Pb3O9 for Cu Kα, from a cell relaxed with GGA-PBE.

Crystal structure
```
PaGa2Pb3O9
1.0
5.764 0.000 0.000
-2.882 4.992 0.000
0.000 0.000 7.297
Pa Ga Pb O
1 2 3 9
Direct
0.000 0.000 0.000
0.333 0.667 0.673
0.667 0.333 0.327
0.000 0.000 0.500
0.333 0.667 0.246
0.667 0.333 0.754
0.000 0.500 0.500
0.168 0.337 0.815
0.168 0.832 0.815
0.337 0.168 0.185
0.500 0.000 0.500
0.500 0.500 0.500
0.663 0.832 0.815
0.832 0.168 0.185
0.832 0.663 0.185
```

Peak list (8 most intense, 10° ≤ 2θ ≤ 90°, by angle)
2theta  d (Å)  Rel. int.
21.57  4.120  26
30.34  2.946  100
31.03  2.882  96
43.95  2.060  52
54.77  1.676  40
55.20  1.664  20
60.02  1.541  21
73.11  1.294  18

Record 4
Theoretical XRD peak list of PaGaRhO6 for Cu Kα, from a cell relaxed with GGA-PBE.

Crystal structure
```
PaGaRhO6
1.0
4.829 0.000 0.000
0.000 4.829 0.000
0.000 0.000 9.542
Pa Ga Rh O
2 2 2 12
Direct
0.000 0.000 0.000
0.500 0.500 0.500
0.000 0.000 0.664
0.500 0.500 0.164
0.000 0.000 0.330
0.500 0.500 0.830
0.181 0.181 0.498
0.205 0.205 0.824
0.206 0.206 0.172
0.294 0.706 0.672
0.295 0.705 0.324
0.319 0.681 0.998
0.681 0.319 0.998
0.705 0.295 0.324
0.706 0.294 0.672
0.794 0.794 0.172
0.795 0.795 0.824
0.819 0.819 0.498
```

Peak list (8 most intense, 10° ≤ 2θ ≤ 90°, by angle)
2theta  d (Å)  Rel. int.
20.61  4.309  35
26.10  3.415  100
33.74  2.656  82
37.24  2.415  25
51.12  1.787  67
53.68  1.707  17
60.64  1.527  16
64.93  1.436  20

Record 5
Theoretical XRD peak list of PaGa2SeO8 for Cu Kα, from a cell relaxed with GGA-PBE.

Crystal structure
```
PaGa2SeO8
1.0
5.303 -2.700 0.000
5.303 2.700 0.000
-1.528 0.000 5.151
Pa Ga Se O
1 2 1 8
Direct
0.000 0.000 0.000
0.212 0.212 0.647
0.788 0.788 0.353
0.500 0.500 0.500
0.139 0.656 0.263
0.167 0.167 0.287
0.344 0.861 0.737
0.395 0.395 0.742
0.605 0.605 0.258
0.656 0.139 0.263
0.833 0.833 0.713
0.861 0.344 0.737
```

Peak list (8 most intense, 10° ≤ 2θ ≤ 90°, by angle)
2theta  d (Å)  Rel. int.
17.44  5.084  32
18.60  4.770  46
23.67  3.758  27
27.12  3.288  100
31.82  2.812  79
33.18  2.700  40
34.26  2.617  27
39.45  2.284  46

Record 6
Theoretical XRD peak list of TbPaGaO6 for Cu Kα, from a cell relaxed with GGA-PBE.

Crystal structure
```
TbPaGaO6
1.0
5.434 0.000 0.000
-2.717 4.706 0.000
0.000 0.000 4.791
Tb Pa Ga O
1 1 1 6
Direct
0.000 0.000 0.000
0.667 0.333 0.500
0.333 0.667 0.000
0.013 0.368 0.238
0.013 0.646 0.762
0.354 0.368 0.762
0.354 0.987 0.238
0.632 0.646 0.238
0.632 0.987 0.762
```

Peak list (8 most intense, 10° ≤ 2θ ≤ 90°, by angle)
2theta  d (Å)  Rel. int.
18.86  4.706  14
26.55  3.357  100
32.97  2.717  39
42.82  2.112  29
50.81  1.797  35
55.07  1.668  28
58.87  1.569  13
75.49  1.259  11

Record 7
Theoretical XRD peak list of PaZn4Ga3O12 for Cu Kα, from a cell relaxed with GGA-PBE.

Crystal structure
```
PaZn4Ga3O12
1.0
-3.769 3.769 3.769
3.769 -3.769 3.769
3.769 3.769 -3.769
Pa Zn Ga O
1 4 3 12
Direct
0.000 0.000 0.000
0.000 0.000 0.500
0.000 0.500 0.000
0.500 0.000 0.000
0.500 0.500 0.500
0.000 0.500 0.500
0.500 0.000 0.500
0.500 0.500 0.000
0.138 0.836 0.302
0.164 0.302 0.467
0.164 0.698 0.862
0.302 0.138 0.836
0.302 0.467 0.164
0.467 0.164 0.302
0.533 0.836 0.698
0.698 0.533 0.836
0.698 0.862 0.164
0.836 0.302 0.138
0.836 0.698 0.533
0.862 0.164 0.698
```

Peak list (8 most intense, 10° ≤ 2θ ≤ 90°, by angle)
2theta  d (Å)  Rel. int.
16.63  5.331  28
33.63  2.665  100
37.74  2.384  12
44.99  2.015  14
48.29  1.885  24
60.13  1.539  48
70.69  1.333  12
80.60  1.192  17

Record 8
Theoretical XRD peak list of GaPb3O4 for Cu Kα, from a cell relaxed with GGA-PBE.

Crystal structure
```
GaPb3O4
1.0
7.893 0.000 0.000
0.000 7.554 0.000
0.000 0.000 5.315
Ga Pb O
2 6 8
Direct
0.000 0.115 0.000
0.500 0.885 0.500
0.000 0.820 0.515
0.221 0.332 0.506
0.279 0.668 0.006
0.500 0.180 0.015
0.721 0.668 0.006
0.779 0.332 0.506
0.000 0.133 0.638
0.000 0.871 0.065
0.195 0.228 0.113
0.305 0.772 0.613
0.500 0.129 0.565
0.500 0.867 0.138
0.695 0.772 0.613
0.805 0.228 0.113
```

Peak list (8 most intense, 10° ≤ 2θ ≤ 90°, by angle)
2theta  d (Å)  Rel. int.
23.55  3.777  24
25.46  3.498  35
29.00  3.079  65
30.60  2.922  100
33.73  2.658  35
42.59  2.123  30
55.36  1.660  43
58.39  1.581  20

Record 9
Theoretical XRD peak list of GaSb3Pb4O13 for Cu Kα, from a cell relaxed with GGA-PBE.

Crystal structure
```
GaSb3Pb4O13
1.0
3.771 2.177 6.067
-3.771 2.177 6.067
0.000 -4.354 6.067
Ga Sb Pb O
1 3 4 13
Direct
0.000 0.000 0.000
0.001 0.001 0.502
0.001 0.502 0.001
0.502 0.001 0.001
0.006 0.500 0.500
0.499 0.499 0.499
0.500 0.006 0.500
0.500 0.500 0.006
0.072 0.072 0.677
0.072 0.677 0.072
0.074 0.680 0.680
0.324 0.324 0.926
0.324 0.926 0.324
0.328 0.927 0.927
0.625 0.625 0.625
0.677 0.072 0.072
0.680 0.074 0.680
0.680 0.680 0.074
0.926 0.324 0.324
0.927 0.328 0.927
0.927 0.927 0.328
```

Peak list (8 most intense, 10° ≤ 2θ ≤ 90°, by angle)
2theta  d (Å)  Rel. int.
29.05  3.074  100
29.45  3.033  32
33.78  2.653  51
48.27  1.886  29
48.78  1.867  28
57.33  1.607  15
57.55  1.601  30
58.01  1.590  15

Record 10
Theoretical XRD peak list of Tm2GaPbO6 for Cu Kα, from a cell relaxed with GGA-PBE.

Crystal structure
```
Tm2GaPbO6
1.0
5.264 0.000 0.000
0.000 5.264 0.000
0.000 0.000 5.369
Tm Ga Pb O
2 1 1 6
Direct
0.000 0.500 0.000
0.500 0.000 0.000
0.000 0.000 0.615
0.500 0.500 0.565
0.000 0.000 0.268
0.238 0.238 0.777
0.238 0.762 0.777
0.500 0.500 0.153
0.762 0.238 0.777
0.762 0.762 0.777
```

Peak list (8 most intense, 10° ≤ 2θ ≤ 90°, by angle)
2theta  d (Å)  Rel. int.
16.51  5.369  12
29.19  3.059  100
33.38  2.684  11
34.06  2.632  34
41.47  2.177  11
48.44  1.879  25
48.94  1.861  18
58.01  1.590  30

Record 11
Theoretical XRD peak list of UGa2PbO8 for Cu Kα, from a cell relaxed with GGA-PBE.

Crystal structure
```
UGa2PbO8
1.0
3.346 -3.395 0.000
3.346 3.395 0.000
0.000 0.000 6.594
U Ga Pb O
1 2 1 8
Direct
0.000 0.000 0.000
0.500 0.500 0.257
0.500 0.500 0.743
0.000 0.000 0.500
0.210 0.790 0.237
0.210 0.790 0.763
0.307 0.307 0.000
0.316 0.316 0.500
0.684 0.684 0.500
0.693 0.693 0.000
0.790 0.210 0.237
0.790 0.210 0.763
```

Peak list (8 most intense, 10° ≤ 2θ ≤ 90°, by angle)
2theta  d (Å)  Rel. int.
18.62  4.766  51
26.25  3.395  54
26.64  3.346  54
33.04  2.711  100
37.75  2.383  28
50.80  1.797  37
51.25  1.783  39
65.19  1.431  22

Record 12
Theoretical XRD peak list of SmGaPdO4 for Cu Kα, from a cell relaxed with GGA-PBE.

Crystal structure
```
SmGaPdO4
1.0
3.048 -4.514 0.000
3.048 4.514 0.000
0.000 0.000 7.161
Sm Ga Pd O
2 2 2 8
Direct
0.000 0.000 0.000
0.000 0.000 0.500
0.369 0.631 0.750
0.631 0.369 0.250
0.296 0.704 0.250
0.704 0.296 0.750
0.245 0.259 0.750
0.258 0.742 0.531
0.258 0.742 0.969
0.259 0.245 0.250
0.741 0.755 0.750
0.742 0.258 0.031
0.742 0.258 0.469
0.755 0.741 0.250
```

Peak list (8 most intense, 10° ≤ 2θ ≤ 90°, by angle)
2theta  d (Å)  Rel. int.
29.30  3.048  59
30.60  2.921  100
31.90  2.805  28
33.20  2.699  67
43.86  2.064  44
51.04  1.789  24
52.78  1.734  21
62.23  1.492  21